Entry 1:
Diffraction record for Li3VOF5. The powder X-ray diffraction pattern is computed, not measured: it uses DFT lattice parameters and positions (GGA+U) and a wavelength of 1.5418 Å.
Lines closer than 0.1° are merged.

The 6 most intense peaks (2θ = 10–90°), by intensity:
d/Å	two_theta	I/Imax	hkl
4.349	20.4	1000	0 1 -1
3.648	24.4	683	1 1 0
4.229	21.0	481	1 0 -1
2.295	39.3	476	1 0 -3
4.253	20.9	473	1 0 1
3.873	23.0	393	0 0 2

```
Li3VOF5
1.0
5.068 0.000 0.000
0.001 5.254 0.000
0.048 0.008 7.747
Li V O F
6 2 2 10
Direct
0.000 0.000 0.000 Li
0.002 0.545 0.766 Li
0.017 0.079 0.519 Li
0.499 0.579 0.500 Li
0.502 0.034 0.267 Li
0.517 0.499 0.019 Li
0.487 0.040 0.777 V
0.984 0.538 0.278 V
0.202 0.891 0.733 O
0.699 0.687 0.234 O
0.153 0.616 0.054 F
0.192 0.818 0.374 F
0.307 0.335 0.351 F
0.361 0.378 0.706 F
0.378 0.131 0.017 F
0.655 0.960 0.554 F
0.695 0.759 0.873 F
0.810 0.243 0.848 F
0.859 0.201 0.206 F
0.875 0.448 0.518 F
```

***

Entry 2:
Diffraction record for LaTiCrO6. The powder X-ray diffraction pattern is computed, not measured: it uses DFT lattice parameters and positions (GGA+U) and a wavelength of 1.5418 Å.
Lines closer than 0.1° are merged.

The 6 most intense peaks (2θ = 10–90°), by intensity:
d/Å	two_theta	I/Imax	hkl
4.415	20.1	1000	1 0 0
2.706	33.1	790	1 1 1
2.308	39.0	355	1 0 2
1.909	47.6	263	2 2 -2
1.563	59.1	203	2 0 2
2.300	39.2	176	2 1 -3

```
LaTiCrO6
1.0
5.387 0.000 0.000
0.000 5.412 0.000
-5.379 0.000 7.669
La Ti Cr O
2 2 2 12
Direct
0.000 0.229 0.000 La
0.000 0.771 0.500 La
0.248 0.253 0.753 Ti
0.248 0.747 0.253 Ti
0.752 0.259 0.254 Cr
0.752 0.741 0.754 Cr
0.037 0.249 0.496 O
0.037 0.751 0.996 O
0.456 0.256 0.999 O
0.456 0.744 0.499 O
0.520 0.025 0.267 O
0.520 0.975 0.767 O
0.550 0.479 0.772 O
0.550 0.521 0.272 O
0.969 0.017 0.728 O
0.969 0.983 0.228 O
0.990 0.466 0.226 O
0.990 0.534 0.726 O
```

***

Entry 3:
Diffraction record for CaCu2W2O8. The powder X-ray diffraction pattern is computed, not measured: it uses DFT lattice parameters and positions (GGA+U) and a wavelength of 1.5418 Å.
Lines closer than 0.1° are merged.

The 6 most intense peaks (2θ = 10–90°), by intensity:
d/Å	two_theta	I/Imax	hkl
3.297	27.0	1000	0 0 4
3.103	28.8	972	2 1 -1
3.435	25.9	739	1 1 -3
4.529	19.6	713	0 2 0
3.087	28.9	584	2 1 1
3.263	27.3	481	1 2 2

```
CaCu2W2O8
1.0
6.802 0.000 0.000
0.000 9.059 0.000
-0.161 0.000 13.188
Ca Cu W O
4 8 8 32
Direct
0.122 0.164 0.453 Ca
0.122 0.336 0.953 Ca
0.878 0.664 0.047 Ca
0.878 0.836 0.547 Ca
0.235 0.690 0.861 Cu
0.235 0.810 0.361 Cu
0.387 0.049 0.879 Cu
0.387 0.451 0.379 Cu
0.613 0.549 0.621 Cu
0.613 0.951 0.121 Cu
0.765 0.190 0.639 Cu
0.765 0.310 0.139 Cu
0.094 0.042 0.155 W
0.094 0.458 0.655 W
0.393 0.577 0.137 W
0.393 0.923 0.637 W
0.607 0.077 0.363 W
0.607 0.423 0.863 W
0.906 0.542 0.345 W
0.906 0.958 0.845 W
0.025 0.229 0.109 O
0.025 0.271 0.609 O
0.089 0.095 0.889 O
0.089 0.405 0.389 O
0.121 0.038 0.293 O
0.121 0.462 0.793 O
0.189 0.566 0.044 O
0.189 0.934 0.544 O
0.307 0.619 0.264 O
0.307 0.881 0.764 O
0.332 0.503 0.604 O
0.332 0.997 0.104 O
0.435 0.220 0.403 O
0.435 0.280 0.903 O
0.489 0.602 0.866 O
0.489 0.898 0.366 O
0.511 0.102 0.634 O
0.511 0.398 0.134 O
0.565 0.720 0.097 O
0.565 0.780 0.597 O
0.668 0.003 0.896 O
0.668 0.497 0.396 O
0.693 0.119 0.236 O
0.693 0.381 0.736 O
0.811 0.066 0.456 O
0.811 0.434 0.956 O
0.879 0.538 0.207 O
0.879 0.962 0.707 O
0.911 0.595 0.611 O
0.911 0.905 0.111 O
0.975 0.729 0.391 O
0.975 0.771 0.891 O
```

***

Entry 4:
Diffraction record for Li8Mn3Fe5B8O24. The powder X-ray diffraction pattern is computed, not measured: it uses DFT lattice parameters and positions (GGA+U) and a wavelength of 1.5418 Å.
Lines closer than 0.1° are merged.

The 6 most intense peaks (2θ = 10–90°), by intensity:
d/Å	two_theta	I/Imax	hkl
2.676	33.5	1000	0 2 -2
4.358	20.4	800	1 0 -2
3.948	22.5	609	1 1 1
4.000	22.2	334	0 0 4
2.201	41.0	328	2 0 4
2.626	34.1	326	1 1 5

```
Li8Mn3Fe5B8O24
1.0
5.236 0.000 0.000
0.109 6.033 0.000
0.219 2.286 15.999
Li Mn Fe B O
8 3 5 8 24
Direct
0.000 0.000 0.000 Li
0.000 0.497 0.501 Li
0.306 0.872 0.221 Li
0.307 0.374 0.719 Li
0.499 0.250 0.251 Li
0.501 0.753 0.749 Li
0.806 0.120 0.472 Li
0.806 0.620 0.971 Li
0.323 0.460 0.902 Mn
0.323 0.956 0.402 Mn
0.822 0.709 0.152 Mn
0.489 0.158 0.071 Fe
0.492 0.656 0.571 Fe
0.826 0.207 0.654 Fe
0.983 0.908 0.823 Fe
0.990 0.408 0.321 Fe
0.325 0.148 0.565 B
0.325 0.650 0.064 B
0.479 0.973 0.907 B
0.482 0.471 0.408 B
0.822 0.401 0.813 B
0.825 0.900 0.314 B
0.981 0.223 0.158 B
0.982 0.725 0.657 B
0.065 0.173 0.553 O
0.065 0.674 0.050 O
0.240 0.199 0.169 O
0.242 0.698 0.669 O
0.335 0.601 0.457 O
0.336 0.103 0.957 O
0.357 0.862 0.849 O
0.360 0.361 0.350 O
0.441 0.768 0.121 O
0.451 0.265 0.620 O
0.471 0.013 0.518 O
0.475 0.515 0.018 O
0.563 0.425 0.800 O
0.565 0.923 0.300 O
0.741 0.948 0.918 O
0.742 0.447 0.420 O
0.834 0.353 0.207 O
0.837 0.856 0.706 O
0.859 0.112 0.100 O
0.860 0.613 0.600 O
0.941 0.016 0.371 O
0.942 0.514 0.871 O
0.970 0.267 0.765 O
0.975 0.765 0.268 O
```